Simulated XRD peak list
Compound: Sr3La4O9
Radiation: Cu Ka
Structure: a cell relaxed with PBE
Neutral-atom scattering factors, no anomalous dispersion.

Cell and atoms:
```
data_Sr3La4O9
_cell_length_a 7.3644
_cell_length_b 9.7815
_cell_length_c 10.3896
_cell_angle_alpha 76.92
_cell_angle_beta 71.45
_cell_angle_gamma 74.58
_symmetry_space_group_name_H-M 'P 1'
_symmetry_Int_Tables_number 1
_symmetry_space_group_name_Hall 'P 1'
loop_
_atom_site_label
_atom_site_fract_x
_atom_site_fract_y
_atom_site_fract_z
_atom_site_occupancy
Sr1 0.0000 0.0000 0.0000 1
Sr2 0.0427 0.5409 0.3507 1
Sr3 0.3731 0.2728 0.5081 1
Sr4 0.6658 0.5198 0.7343 1
Sr5 0.8014 0.8398 0.7426 1
Sr6 0.8641 0.2734 0.2208 1
La1 0.0686 0.5686 0.9559 1
La2 0.1919 0.9568 0.3287 1
La3 0.2983 0.8978 0.6634 1
La4 0.3963 0.2556 0.1642 1
La5 0.4144 0.2006 0.8460 1
La6 0.5608 0.6373 0.1473 1
La7 0.6990 0.9213 0.3602 1
La8 0.8804 0.2045 0.5785 1
O1 0.0450 0.8166 0.2493 1
O2 0.0704 0.8895 0.5597 1
O3 0.0975 0.7908 0.8752 1
O4 0.1048 0.2712 0.3368 1
O5 0.1933 0.1366 0.0813 1
O6 0.2363 0.1090 0.7513 1
O7 0.3805 0.0417 0.4432 1
O8 0.3804 0.4162 0.9499 1
O9 0.4288 0.4408 0.2675 1
O10 0.5059 0.8187 0.2615 1
O11 0.5553 0.3412 0.6422 1
O12 0.6207 0.7718 0.6078 1
O13 0.7054 0.1137 0.1556 1
O14 0.7242 0.0746 0.8032 1
O15 0.7599 0.6157 0.9147 1
O16 0.7628 0.1186 0.4318 1
O17 0.8707 0.5384 0.1751 1
O18 0.9746 0.4144 0.5841 1
```

The 12 most intense peaks (5° ≤ 2θ ≤ 70°), in order of rising 2θ:
- 9.49 deg, 9.316 Å, I = 39.9
- 12.09 deg, 7.320 Å, I = 33.9
- 18.88 deg, 4.700 Å, I = 53.1
- 19.81 deg, 4.481 Å, I = 29.7
- 27.02 deg, 3.300 Å, I = 74.0
- 28.77 deg, 3.103 Å, I = 100.0
- 29.01 deg, 3.078 Å, I = 65.6
- 29.71 deg, 3.007 Å, I = 74.6
- 31.03 deg, 2.882 Å, I = 57.1
- 32.80 deg, 2.730 Å, I = 30.5
- 36.12 deg, 2.487 Å, I = 32.2
- 42.57 deg, 2.124 Å, I = 32.5

***

Simulated XRD peak list
Compound: Sr3La4O9
Radiation: Cu Ka
Structure: a cell relaxed with PBE
Neutral-atom scattering factors, no anomalous dispersion.

Cell and atoms:
```
data_Sr3La4O9
_cell_length_a 6.2273
_cell_length_b 6.2273
_cell_length_c 26.9257
_cell_angle_alpha 90.00
_cell_angle_beta 90.00
_cell_angle_gamma 120.00
_symmetry_space_group_name_H-M 'R 3'
_symmetry_Int_Tables_number 146
_symmetry_space_group_name_Hall 'R 3'
loop_
_atom_site_label
_atom_site_fract_x
_atom_site_fract_y
_atom_site_fract_z
_atom_site_occupancy
Sr1 0.0000 0.0000 0.0000 1
Sr2 0.0000 0.0000 0.1785 1
Sr3 0.0000 0.0000 0.6080 1
La1 0.0000 0.0000 0.3070 1
La2 0.0000 0.0000 0.4384 1
La3 0.0000 0.0000 0.7425 1
La4 0.0000 0.0000 0.8709 1
O1 0.0042 0.6193 0.0287 1
O2 0.0051 0.3858 0.5893 1
O3 0.0447 0.6918 0.4759 1
```

The 12 most intense peaks (5° ≤ 2θ ≤ 70°), in order of rising 2θ:
- 17.72 deg, 5.006 Å, I = 24.7
- 28.50 deg, 3.132 Å, I = 87.4
- 28.67 deg, 3.114 Å, I = 100.0
- 40.87 deg, 2.208 Å, I = 40.1
- 41.88 deg, 2.157 Å, I = 37.7
- 50.68 deg, 1.801 Å, I = 37.8
- 50.79 deg, 1.798 Å, I = 30.9
- 57.36 deg, 1.606 Å, I = 13.6
- 59.37 deg, 1.557 Å, I = 14.5
- 65.37 deg, 1.428 Å, I = 7.7
- 67.15 deg, 1.394 Å, I = 14.4
- 67.87 deg, 1.381 Å, I = 7.9

***

Simulated XRD peak list
Compound: Sr3La4O9
Radiation: Cu Ka
Structure: a cell relaxed with PBE
Neutral-atom scattering factors, no anomalous dispersion.

Cell and atoms:
```
data_Sr3La4O9
_cell_length_a 11.8618
_cell_length_b 7.3461
_cell_length_c 13.5356
_cell_angle_alpha 90.00
_cell_angle_beta 115.44
_cell_angle_gamma 90.00
_symmetry_space_group_name_H-M 'C 1 c 1'
_symmetry_Int_Tables_number 9
_symmetry_space_group_name_Hall 'C -2yc'
loop_
_atom_site_label
_atom_site_fract_x
_atom_site_fract_y
_atom_site_fract_z
_atom_site_occupancy
Sr1 0.0000 0.0627 0.0000 1
Sr2 0.0980 0.1634 0.2752 1
Sr3 0.1840 0.4130 0.9445 1
La1 0.1006 0.3620 0.6564 1
La2 0.3054 0.1190 0.5646 1
La3 0.3602 0.3148 0.2251 1
La4 0.3768 0.1308 0.8603 1
O1 0.0683 0.1305 0.8513 1
O2 0.0942 0.2697 0.4702 1
O3 0.1347 0.3415 0.1078 1
O4 0.1980 0.0620 0.6798 1
O5 0.2941 0.4320 0.8183 1
O6 0.3335 0.1760 0.3949 1
O7 0.3742 0.1926 0.0429 1
O8 0.3812 0.4165 0.6210 1
O9 0.4811 0.0184 0.7495 1
```

The 12 most intense peaks (5° ≤ 2θ ≤ 70°), in order of rising 2θ:
- 27.95 deg, 3.192 Å, I = 24.6
- 28.59 deg, 3.123 Å, I = 100.0
- 29.24 deg, 3.055 Å, I = 52.9
- 29.36 deg, 3.042 Å, I = 46.5
- 30.14 deg, 2.965 Å, I = 23.4
- 33.46 deg, 2.678 Å, I = 17.0
- 36.28 deg, 2.476 Å, I = 36.0
- 36.60 deg, 2.455 Å, I = 40.5
- 45.91 deg, 1.976 Å, I = 27.5
- 54.68 deg, 1.679 Å, I = 19.3
- 54.97 deg, 1.670 Å, I = 22.2
- 58.53 deg, 1.577 Å, I = 17.0

***

Simulated XRD peak list
Compound: Sr3La4O9
Radiation: Cu Ka
Structure: a cell relaxed with PBE
Neutral-atom scattering factors, no anomalous dispersion.

Cell and atoms:
```
data_Sr3La4O9
_cell_length_a 7.4513
_cell_length_b 9.4646
_cell_length_c 10.6906
_cell_angle_alpha 79.59
_cell_angle_beta 70.75
_cell_angle_gamma 73.25
_symmetry_space_group_name_H-M 'P 1'
_symmetry_Int_Tables_number 1
_symmetry_space_group_name_Hall 'P 1'
loop_
_atom_site_label
_atom_site_fract_x
_atom_site_fract_y
_atom_site_fract_z
_atom_site_occupancy
Sr1 0.0000 0.0000 0.0000 1
Sr2 0.0078 0.4415 0.7140 1
Sr3 0.3192 0.7608 0.1666 1
Sr4 0.6363 0.0147 0.3898 1
Sr5 0.7446 0.3357 0.4316 1
Sr6 0.8052 0.7521 0.8854 1
La1 0.0106 0.0546 0.6367 1
La2 0.1273 0.4335 0.0184 1
La3 0.2408 0.3893 0.3407 1
La4 0.3395 0.7239 0.4968 1
La5 0.3660 0.7027 0.8159 1
La6 0.4867 0.0961 0.7830 1
La7 0.6591 0.3947 0.0427 1
La8 0.8160 0.6890 0.2457 1
O1 0.0036 0.3868 0.2456 1
O2 0.0473 0.2808 0.5485 1
O3 0.0704 0.7167 0.9872 1
O4 0.1326 0.6571 0.7128 1
O5 0.2032 0.6194 0.3868 1
O6 0.3323 0.9222 0.6444 1
O7 0.3336 0.4978 0.1109 1
O8 0.3729 0.3240 0.8439 1
O9 0.3852 0.8933 0.9281 1
O10 0.4976 0.8511 0.2980 1
O11 0.5702 0.2681 0.2897 1
O12 0.6440 0.5917 0.4627 1
O13 0.6769 0.5616 0.8354 1
O14 0.7213 0.5946 0.0954 1
O15 0.7289 0.0921 0.5696 1
O16 0.7917 0.0207 0.8376 1
O17 0.9335 0.8964 0.2275 1
O18 0.9774 0.2700 0.9319 1
```

The 12 most intense peaks (5° ≤ 2θ ≤ 70°), in order of rising 2θ:
- 9.80 deg, 9.022 Å, I = 41.0
- 12.55 deg, 7.053 Å, I = 53.6
- 18.61 deg, 4.768 Å, I = 55.1
- 20.79 deg, 4.273 Å, I = 62.8
- 26.26 deg, 3.394 Å, I = 45.1
- 26.94 deg, 3.310 Å, I = 46.1
- 28.67 deg, 3.114 Å, I = 100.0
- 29.31 deg, 3.047 Å, I = 42.2
- 29.71 deg, 3.007 Å, I = 95.0
- 30.09 deg, 2.970 Å, I = 57.5
- 30.22 deg, 2.957 Å, I = 83.4
- 34.83 deg, 2.576 Å, I = 47.1

***

Simulated XRD peak list
Compound: Sr2LaTa3O11
Radiation: Cu Ka
Structure: a cell relaxed with PBE
Neutral-atom scattering factors, no anomalous dispersion.

Cell and atoms:
```
data_Sr2LaTa3O11
_cell_length_a 3.9808
_cell_length_b 5.7580
_cell_length_c 21.8249
_cell_angle_alpha 90.00
_cell_angle_beta 90.00
_cell_angle_gamma 90.00
_symmetry_space_group_name_H-M 'I m m m'
_symmetry_Int_Tables_number 71
_symmetry_space_group_name_Hall '-I 2 2'
loop_
_atom_site_label
_atom_site_fract_x
_atom_site_fract_y
_atom_site_fract_z
_atom_site_occupancy
Sr1 0.0000 0.0000 0.2048 1
La1 0.0000 0.5000 0.0000 1
Ta1 0.0000 0.0000 0.3650 1
Ta2 0.0000 0.5000 0.5000 1
O1 0.0000 0.0000 0.0000 1
O2 0.0000 0.2364 0.4405 1
O3 0.0000 0.2375 0.3054 1
O4 0.0000 0.5000 0.1201 1
```

The 12 most intense peaks (5° ≤ 2θ ≤ 70°), in order of rising 2θ:
- 8.10 deg, 10.912 Å, I = 32.2
- 19.66 deg, 4.515 Å, I = 30.2
- 22.71 deg, 3.916 Å, I = 26.9
- 24.47 deg, 3.637 Å, I = 33.3
- 25.61 deg, 3.478 Å, I = 47.3
- 28.46 deg, 3.136 Å, I = 100.0
- 31.06 deg, 2.879 Å, I = 47.7
- 31.87 deg, 2.808 Å, I = 86.6
- 32.66 deg, 2.742 Å, I = 28.9
- 45.58 deg, 1.990 Å, I = 29.4
- 48.75 deg, 1.868 Å, I = 33.5
- 58.01 deg, 1.590 Å, I = 28.1

***

Simulated XRD peak list
Compound: Sr2LaTaO6
Radiation: Cu Ka
Structure: a cell relaxed with PBE
Neutral-atom scattering factors, no anomalous dispersion.

Cell and atoms:
```
data_Sr2LaTaO6
_cell_length_a 8.6534
_cell_length_b 8.6534
_cell_length_c 8.6534
_cell_angle_alpha 90.00
_cell_angle_beta 90.00
_cell_angle_gamma 90.00
_symmetry_space_group_name_H-M 'F m -3 m'
_symmetry_Int_Tables_number 225
_symmetry_space_group_name_Hall '-F 4 2 3'
loop_
_atom_site_label
_atom_site_fract_x
_atom_site_fract_y
_atom_site_fract_z
_atom_site_occupancy
Sr1 0.2500 0.2500 0.2500 1
La1 0.0000 0.0000 0.0000 1
Ta1 0.0000 0.0000 0.5000 1
O1 0.0000 0.0000 0.2694 1
```

The 12 most intense peaks (5° ≤ 2θ ≤ 70°), in order of rising 2θ:
- 17.75 deg, 4.996 Å, I = 3.0
- 20.53 deg, 4.327 Å, I = 17.3
- 29.19 deg, 3.059 Å, I = 100.0
- 34.37 deg, 2.609 Å, I = 0.9
- 41.75 deg, 2.163 Å, I = 30.5
- 46.96 deg, 1.935 Å, I = 7.2
- 51.75 deg, 1.766 Å, I = 41.0
- 55.15 deg, 1.665 Å, I = 0.7
- 60.52 deg, 1.530 Å, I = 19.1
- 63.61 deg, 1.463 Å, I = 0.6
- 64.62 deg, 1.442 Å, I = 3.3
- 68.59 deg, 1.368 Å, I = 18.6

***

Simulated XRD peak list
Compound: Sr3LaTa3O12
Radiation: Cu Ka
Structure: a cell relaxed with PBE
Neutral-atom scattering factors, no anomalous dispersion.

Cell and atoms:
```
data_Sr3LaTa3O12
_cell_length_a 5.6871
_cell_length_b 5.6871
_cell_length_c 27.5086
_cell_angle_alpha 90.00
_cell_angle_beta 90.00
_cell_angle_gamma 120.00
_symmetry_space_group_name_H-M 'R 3 m'
_symmetry_Int_Tables_number 160
_symmetry_space_group_name_Hall 'R 3 -2"'
loop_
_atom_site_label
_atom_site_fract_x
_atom_site_fract_y
_atom_site_fract_z
_atom_site_occupancy
Sr1 0.0000 0.0000 0.0000 1
Sr2 0.0000 0.0000 0.1476 1
Sr3 0.0000 0.0000 0.5724 1
La1 0.0000 0.0000 0.4300 1
Ta1 0.0000 0.0000 0.2858 1
Ta2 0.0000 0.0000 0.7090 1
Ta3 0.0000 0.0000 0.8629 1
O1 0.9997 0.4999 0.9931 1
O2 0.0023 0.5012 0.5779 1
O3 0.0077 0.5038 0.1624 1
O4 0.1693 0.3386 0.7418 1
```

The 12 most intense peaks (5° ≤ 2θ ≤ 70°), in order of rising 2θ:
- 19.14 deg, 4.637 Å, I = 15.4
- 24.25 deg, 3.670 Å, I = 18.2
- 29.07 deg, 3.072 Å, I = 100.0
- 31.46 deg, 2.844 Å, I = 81.8
- 43.36 deg, 2.087 Å, I = 51.9
- 49.97 deg, 1.825 Å, I = 22.7
- 51.18 deg, 1.785 Å, I = 6.3
- 54.55 deg, 1.682 Å, I = 35.9
- 56.01 deg, 1.642 Å, I = 16.5
- 60.25 deg, 1.536 Å, I = 15.7
- 65.67 deg, 1.422 Å, I = 15.5
- 69.56 deg, 1.351 Å, I = 18.3

***

Simulated XRD peak list
Compound: Sr2La3Ti2O10
Radiation: Cu Ka
Structure: a cell relaxed with PBE
Neutral-atom scattering factors, no anomalous dispersion.

Cell and atoms:
```
data_Sr2La3Ti2O10
_cell_length_a 5.6003
_cell_length_b 6.8837
_cell_length_c 12.3824
_cell_angle_alpha 85.68
_cell_angle_beta 89.95
_cell_angle_gamma 89.98
_symmetry_space_group_name_H-M 'P 1'
_symmetry_Int_Tables_number 1
_symmetry_space_group_name_Hall 'P 1'
loop_
_atom_site_label
_atom_site_fract_x
_atom_site_fract_y
_atom_site_fract_z
_atom_site_occupancy
Sr1 0.0000 0.0000 0.0000 1
Sr2 0.0000 0.5001 0.1063 1
Sr3 0.5001 0.1296 0.1983 1
Sr4 0.5001 0.6297 0.3045 1
La1 0.0000 0.2273 0.7102 1
La2 0.0001 0.2573 0.3965 1
La3 0.0000 0.7822 0.5492 1
La4 0.4999 0.3723 0.9077 1
La5 0.5001 0.4026 0.5940 1
La6 0.5002 0.8479 0.7543 1
Ti1 0.0001 0.6244 0.8352 1
Ti2 0.0000 0.8638 0.2595 1
Ti3 0.5000 0.0051 0.4690 1
Ti4 0.5001 0.7660 0.0449 1
O1 0.9999 0.1594 0.2015 1
O2 0.0000 0.3398 0.9110 1
O3 0.0002 0.4526 0.5430 1
O4 0.0000 0.5764 0.3055 1
O5 0.0002 0.8919 0.7608 1
O6 0.2442 0.9259 0.3698 1
O7 0.2503 0.0875 0.5689 1
O8 0.2498 0.5423 0.7357 1
O9 0.2501 0.8149 0.1522 1
O10 0.2557 0.7038 0.9345 1
O11 0.5001 0.0530 0.9988 1
O12 0.4998 0.1772 0.7614 1
O13 0.5001 0.2904 0.3933 1
O14 0.5001 0.4705 0.1028 1
O15 0.4998 0.7375 0.5438 1
O16 0.7445 0.7038 0.9345 1
O17 0.7500 0.0874 0.5690 1
O18 0.7501 0.5423 0.7356 1
O19 0.7500 0.8149 0.1522 1
O20 0.7556 0.9259 0.3698 1
```

The 12 most intense peaks (5° ≤ 2θ ≤ 70°), in order of rising 2θ:
- 7.16 deg, 12.347 Å, I = 31.4
- 24.51 deg, 3.632 Å, I = 23.5
- 30.63 deg, 2.919 Å, I = 66.5
- 30.66 deg, 2.916 Å, I = 65.4
- 30.89 deg, 2.895 Å, I = 100.0
- 30.96 deg, 2.889 Å, I = 42.3
- 31.96 deg, 2.800 Å, I = 76.5
- 42.66 deg, 2.119 Å, I = 33.8
- 43.19 deg, 2.095 Å, I = 26.9
- 44.99 deg, 2.015 Å, I = 36.7
- 45.04 deg, 2.013 Å, I = 32.0
- 56.14 deg, 1.638 Å, I = 22.3